Computed powder diffractogram
Compound: HgCN2
Radiation: CuKα
Structure: a DFT-relaxed cell (PBE, the Materials Project)
Kinematic intensities with the Lorentz-polarization factor, no thermal factor.

The 10 most intense peaks (10° ≤ 2θ ≤ 80°), by angle:
2θ (°)	intensity
21.0	100
24.4	67
24.5	39
25.9	25
28.6	78
32.5	67
33.6	26
42.1	24
44.6	45
44.7	44

abc: 6.9222 7.2695 10.6546
angles: 90.00 90.00 90.00
Fractional positions:
Hg 0.1556 0.2063 0.1270
Hg 0.1556 0.2937 0.6270
Hg 0.3444 0.7063 0.1270
Hg 0.3444 0.7937 0.6270
Hg 0.6556 0.2063 0.3730
Hg 0.6556 0.2937 0.8730
Hg 0.8444 0.7063 0.3730
Hg 0.8444 0.7937 0.8730
C 0.1660 0.1041 0.3847
C 0.1660 0.3959 0.8847
C 0.3340 0.6041 0.3847
C 0.3340 0.8959 0.8847
C 0.6660 0.1041 0.1153
C 0.6660 0.3959 0.6153
C 0.8340 0.6041 0.1153
C 0.8340 0.8959 0.6153
N 0.0797 0.0611 0.2875
N 0.0797 0.4389 0.7875
N 0.2430 0.6273 0.4834
N 0.2430 0.8727 0.9834
N 0.2570 0.1273 0.4834
N 0.2570 0.3727 0.9834
N 0.4203 0.5611 0.2875
N 0.4203 0.9389 0.7875
N 0.5797 0.0611 0.2125
N 0.5797 0.4389 0.7125
N 0.7430 0.6273 0.0166
N 0.7430 0.8727 0.5166
N 0.7570 0.1273 0.0166
N 0.7570 0.3727 0.5166
N 0.9203 0.5611 0.2125
N 0.9203 0.9389 0.7125


Computed powder diffractogram
Compound: HgCN2
Radiation: CuKα
Structure: a DFT-relaxed cell (PBE, the Materials Project)
Kinematic intensities with the Lorentz-polarization factor, no thermal factor.

The 10 most intense peaks (10° ≤ 2θ ≤ 80°), by angle:
2θ (°)	intensity
17.3	100
25.4	36
26.6	58
28.4	47
30.5	72
34.7	21
36.1	40
41.1	29
45.3	25
49.4	24

abc: 5.5797 7.1266 7.2762
angles: 90.00 113.11 90.00
Fractional positions:
Hg 0.0078 0.1252 0.2560
Hg 0.0078 0.3748 0.7560
Hg 0.9922 0.6252 0.2440
Hg 0.9922 0.8748 0.7440
C 0.4290 0.6270 0.7696
C 0.4290 0.8730 0.2696
C 0.5710 0.1270 0.7304
C 0.5710 0.3730 0.2304
N 0.1789 0.6268 0.7126
N 0.1789 0.8732 0.2126
N 0.3403 0.1251 0.6836
N 0.3403 0.3749 0.1836
N 0.6597 0.6251 0.8164
N 0.6597 0.8749 0.3164
N 0.8211 0.1268 0.7874
N 0.8211 0.3733 0.2874


Computed powder diffractogram
Compound: HgC2N2
Radiation: CuKα
Structure: a DFT-relaxed cell (PBE, the Materials Project)
Kinematic intensities with the Lorentz-polarization factor, no thermal factor.

The 10 most intense peaks (10° ≤ 2θ ≤ 80°), by angle:
2θ (°)	intensity
17.9	93
23.2	100
25.4	24
34.7	64
36.3	14
40.7	14
43.6	34
46.9	15
51.1	14
57.9	18

abc: 8.3649 8.3649 8.3649
angles: 107.39 107.39 113.73
Fractional positions:
Hg 0.0897 0.1250 0.4647
Hg 0.3750 0.9103 0.0353
Hg 0.6603 0.6250 0.5353
Hg 0.8750 0.3397 0.9647
C 0.0430 0.8840 0.2513
C 0.1160 0.3672 0.1590
C 0.1172 0.3660 0.6590
C 0.2082 0.9570 0.8410
C 0.5417 0.8828 0.2487
C 0.6328 0.7917 0.7487
C 0.6340 0.2930 0.7513
C 0.7070 0.4582 0.3410
N 0.0248 0.7501 0.1334
N 0.1086 0.9752 0.7253
N 0.1333 0.4999 0.7747
N 0.2499 0.3833 0.2747
N 0.5001 0.2748 0.6334
N 0.6167 0.8914 0.8666
N 0.6414 0.8667 0.3666
N 0.7252 0.3586 0.2253


Computed powder diffractogram
Compound: Hg2C2N2O
Radiation: CuKα
Structure: a DFT-relaxed cell (PBE, the Materials Project)
Kinematic intensities with the Lorentz-polarization factor, no thermal factor.

The 10 most intense peaks (10° ≤ 2θ ≤ 80°), by angle:
2θ (°)	intensity
13.2	59
22.4	34
24.5	100
24.9	27
28.2	30
30.7	22
33.1	42
34.3	25
35.3	22
37.5	33

abc: 19.0947 4.2262 7.1628
angles: 90.00 90.00 90.00
Fractional positions:
Hg 0.0216 0.2500 0.1986
Hg 0.1535 0.7500 0.8662
Hg 0.3465 0.2500 0.3662
Hg 0.4784 0.7500 0.6986
Hg 0.5216 0.2500 0.3014
Hg 0.6535 0.7500 0.6338
Hg 0.8465 0.2500 0.1338
Hg 0.9784 0.7500 0.8014
C 0.0805 0.2500 0.4358
C 0.2445 0.7500 0.7178
C 0.2555 0.2500 0.2178
C 0.4195 0.7500 0.9358
C 0.5805 0.2500 0.0642
C 0.7445 0.7500 0.7822
C 0.7555 0.2500 0.2822
C 0.9195 0.7500 0.5642
N 0.1075 0.2500 0.5824
N 0.2061 0.2500 0.1215
N 0.2939 0.7500 0.6215
N 0.3925 0.7500 0.0824
N 0.6075 0.2500 0.9176
N 0.7061 0.2500 0.3785
N 0.7939 0.7500 0.8785
N 0.8925 0.7500 0.4176
O 0.0585 0.7500 0.9990
O 0.4415 0.2500 0.4990
O 0.5585 0.7500 0.5010
O 0.9415 0.2500 0.0010


Computed powder diffractogram
Compound: Hg4C5N4O
Radiation: CuKα
Structure: a DFT-relaxed cell (PBE, the Materials Project)
Kinematic intensities with the Lorentz-polarization factor, no thermal factor.

The 10 most intense peaks (10° ≤ 2θ ≤ 80°), by angle:
2θ (°)	intensity
12.1	100
14.3	39
15.0	60
21.6	32
22.8	43
26.9	62
28.5	72
31.9	29
36.8	32
37.3	43

abc: 8.6205 14.0313 13.6753
angles: 90.00 126.77 90.00
Fractional positions:
Hg 0.0020 0.1262 0.2597
Hg 0.0020 0.3738 0.7597
Hg 0.1532 0.6294 0.0569
Hg 0.1532 0.8706 0.5569
Hg 0.4127 0.5071 0.3234
Hg 0.4126 0.7488 0.3247
Hg 0.4126 0.7512 0.8247
Hg 0.4127 0.9929 0.8234
Hg 0.5873 0.0071 0.1766
Hg 0.5874 0.2488 0.1753
Hg 0.5874 0.2512 0.6753
Hg 0.5873 0.4929 0.6766
Hg 0.8468 0.1294 0.4431
Hg 0.8468 0.3706 0.9431
Hg 0.9980 0.6262 0.2403
Hg 0.9980 0.8738 0.7403
C 0.0600 0.6299 0.8770
C 0.0600 0.8701 0.3770
C 0.2378 0.6281 0.2375
C 0.2378 0.8719 0.7375
C 0.2455 0.1248 0.2628
C 0.2455 0.3752 0.7628
C 0.4089 0.1329 0.5922
C 0.4089 0.3671 0.0922
C 0.4121 0.6119 0.5877
C 0.4121 0.8881 0.0877
C 0.5879 0.1119 0.9123
C 0.5879 0.3881 0.4123
C 0.5911 0.6329 0.9078
C 0.5911 0.8671 0.4078
C 0.7545 0.6248 0.2372
C 0.7545 0.8752 0.7372
C 0.7622 0.1281 0.2625
C 0.7622 0.3719 0.7625
C 0.9400 0.1299 0.6230
C 0.9400 0.3701 0.1230
N 0.0080 0.6318 0.7759
N 0.0080 0.8682 0.2759
N 0.2929 0.6707 0.5350
N 0.2929 0.8293 0.0350
N 0.2996 0.0689 0.5484
N 0.2996 0.4311 0.0484
N 0.3777 0.1242 0.2593
N 0.3777 0.3758 0.7593
N 0.6223 0.6242 0.2407
N 0.6223 0.8758 0.7407
N 0.7004 0.5689 0.9516
N 0.7004 0.9311 0.4516
N 0.7071 0.1707 0.9650
N 0.7071 0.3293 0.4650
N 0.9920 0.1318 0.7241
N 0.9920 0.3682 0.2241
O 0.2188 0.1205 0.9771
O 0.2188 0.3795 0.4771
O 0.7812 0.6205 0.5229
O 0.7812 0.8795 0.0229


Computed powder diffractogram
Compound: RbHgC3N3O3
Radiation: CuKα
Structure: a DFT-relaxed cell (PBE, the Materials Project)
Kinematic intensities with the Lorentz-polarization factor, no thermal factor.

The 10 most intense peaks (10° ≤ 2θ ≤ 80°), by angle:
2θ (°)	intensity
12.7	40
16.6	36
23.3	34
25.3	32
27.0	100
28.7	20
29.4	43
32.3	39
38.4	19
47.8	17

abc: 10.7415 4.1983 18.4061
angles: 90.00 90.00 90.00
Fractional positions:
Rb 0.0703 0.2500 0.1577
Rb 0.4297 0.7500 0.6577
Rb 0.5703 0.2500 0.3423
Rb 0.9297 0.7500 0.8423
Hg 0.1487 0.2500 0.5397
Hg 0.3513 0.7500 0.0397
Hg 0.6487 0.2500 0.9603
Hg 0.8513 0.7500 0.4603
C 0.1001 0.2500 0.3786
C 0.1369 0.2500 0.9712
C 0.1428 0.2500 0.7055
C 0.3572 0.7500 0.2055
C 0.3631 0.7500 0.4712
C 0.3999 0.7500 0.8786
C 0.6001 0.2500 0.1214
C 0.6369 0.2500 0.5288
C 0.6428 0.2500 0.7945
C 0.8572 0.7500 0.2945
C 0.8631 0.7500 0.0288
C 0.8999 0.7500 0.6214
N 0.0517 0.2500 0.4381
N 0.2070 0.2500 0.6515
N 0.2271 0.2500 0.0103
N 0.2729 0.7500 0.5103
N 0.2930 0.7500 0.1515
N 0.4483 0.7500 0.9381
N 0.5517 0.2500 0.0619
N 0.7070 0.2500 0.8485
N 0.7271 0.2500 0.4897
N 0.7729 0.7500 0.9897
N 0.7930 0.7500 0.3485
N 0.9483 0.7500 0.5619
O 0.0450 0.2500 0.9329
O 0.0863 0.2500 0.7619
O 0.1397 0.2500 0.3176
O 0.3603 0.7500 0.8176
O 0.4137 0.7500 0.2619
O 0.4550 0.7500 0.4329
O 0.5450 0.2500 0.5671
O 0.5863 0.2500 0.7381
O 0.6397 0.2500 0.1824
O 0.8603 0.7500 0.6824
O 0.9137 0.7500 0.2381
O 0.9550 0.7500 0.0671


Computed powder diffractogram
Compound: RbHgC3S3N3
Radiation: CuKα
Structure: a DFT-relaxed cell (PBE, the Materials Project)
Kinematic intensities with the Lorentz-polarization factor, no thermal factor.

The 10 most intense peaks (10° ≤ 2θ ≤ 80°), by angle:
2θ (°)	intensity
15.3	60
17.3	57
22.1	41
22.6	65
25.5	100
31.3	41
34.8	29
37.6	35
38.7	27
42.6	28

abc: 11.3484 4.2446 11.6386
angles: 90.00 115.62 90.00
Fractional positions:
Rb 0.2199 0.2500 0.0954
Rb 0.7801 0.7500 0.9046
Hg 0.2224 0.7500 0.6461
Hg 0.7776 0.2500 0.3539
C 0.0269 0.7500 0.7759
C 0.3010 0.7500 0.4106
C 0.4626 0.2500 0.8602
C 0.5374 0.7500 0.1398
C 0.6990 0.2500 0.5894
C 0.9731 0.2500 0.2241
S 0.0097 0.2500 0.3782
S 0.3048 0.2500 0.8240
S 0.3938 0.7500 0.5667
S 0.6062 0.2500 0.4333
S 0.6952 0.7500 0.1760
S 0.9903 0.7500 0.6218
N 0.0515 0.7500 0.8854
N 0.2433 0.7500 0.2985
N 0.4243 0.7500 0.1131
N 0.5757 0.2500 0.8869
N 0.7567 0.2500 0.7015
N 0.9485 0.2500 0.1146


Computed powder diffractogram
Compound: HgC6S4N2
Radiation: CuKα
Structure: a DFT-relaxed cell (PBE, the Materials Project)
Kinematic intensities with the Lorentz-polarization factor, no thermal factor.

The 10 most intense peaks (10° ≤ 2θ ≤ 80°), by angle:
2θ (°)	intensity
10.6	82
12.6	100
19.0	20
19.6	30
20.9	22
24.6	26
25.3	44
28.2	20
32.1	19
35.3	23

abc: 9.9434 9.9434 10.2556
angles: 112.07 112.07 45.65
Fractional positions:
Hg 0.0000 0.0000 0.0000
Hg 0.0000 0.0000 0.5000
C 0.0907 0.6942 0.6093
C 0.1636 0.4351 0.7119
C 0.3058 0.9093 0.8907
C 0.3413 0.3470 0.1676
C 0.3470 0.3413 0.6676
C 0.4351 0.1636 0.2119
C 0.5649 0.8364 0.7881
C 0.6530 0.6587 0.3324
C 0.6587 0.6530 0.8324
C 0.6942 0.0907 0.1093
C 0.8364 0.5649 0.2881
C 0.9093 0.3058 0.3907
S 0.1159 0.1277 0.8590
S 0.1277 0.1159 0.3590
S 0.2348 0.6641 0.5290
S 0.3359 0.7652 0.9710
S 0.6641 0.2348 0.0290
S 0.7652 0.3359 0.4710
S 0.8723 0.8841 0.6410
S 0.8841 0.8723 0.1410
N 0.1829 0.5212 0.6538
N 0.4788 0.8171 0.8462
N 0.5212 0.1829 0.1538
N 0.8171 0.4788 0.3462


Computed powder diffractogram
Compound: ZnHgC4S4N4
Radiation: CuKα
Structure: a DFT-relaxed cell (PBE, the Materials Project)
Kinematic intensities with the Lorentz-polarization factor, no thermal factor.

The 10 most intense peaks (10° ≤ 2θ ≤ 80°), by angle:
2θ (°)	intensity
11.1	57
15.7	100
20.3	73
22.3	36
25.8	100
30.3	50
34.3	48
35.6	35
44.5	33
45.9	48

abc: 8.3188 8.3188 8.3188
angles: 94.68 94.68 146.79
Fractional positions:
Zn 0.0000 0.0000 0.0000
Hg 0.7500 0.2500 0.5000
C 0.1324 0.4307 0.8525
C 0.5693 0.4218 0.7017
C 0.5782 0.2799 0.1475
C 0.7201 0.8676 0.2983
S 0.1965 0.6529 0.7777
S 0.3471 0.1248 0.5435
S 0.5813 0.8035 0.4565
S 0.8752 0.4187 0.2223
N 0.0934 0.2780 0.9103
N 0.3677 0.1831 0.0897
N 0.7220 0.6323 0.8154
N 0.8169 0.9066 0.1846